Entry 1:
Starting from a PBE-relaxed structure, the powder diffractogram of PuH6Br12 was computed for λ = 1.5418 Å (Cu Kα).

Most intense lines, 2θ = 5–70°, by intensity:
Position (°2θ), I (rel.)
24.54, 100
9.99, 73
13.99, 73
31.75, 59
32.17, 52
14.30, 46
46.24, 33
52.17, 30
49.92, 26
20.06, 26
37.73, 24
17.22, 24

Cell lengths 8.858, 8.858, 8.858 Å; angles 91.19, 91.19, 91.19 degrees
Fractional positions:
Pu 0.000 0.000 0.000
H 0.294 0.505 0.315
H 0.315 0.294 0.505
H 0.495 0.685 0.706
H 0.505 0.315 0.294
H 0.685 0.706 0.495
H 0.706 0.495 0.685
Br 0.063 0.723 0.908
Br 0.092 0.937 0.277
Br 0.189 0.395 0.535
Br 0.277 0.092 0.937
Br 0.395 0.535 0.189
Br 0.465 0.811 0.605
Br 0.535 0.189 0.395
Br 0.605 0.465 0.811
Br 0.723 0.908 0.063
Br 0.811 0.605 0.465
Br 0.908 0.063 0.723
Br 0.937 0.277 0.092

***

Entry 2:
Starting from a PBE-relaxed structure, the powder diffractogram of TmTlIrO6 was computed for λ = 1.5418 Å (Cu Kα).

Most intense lines, 2θ = 5–70°, by intensity:
Position (°2θ), I (rel.)
26.78, 100
32.45, 55
51.45, 42
42.55, 29
54.51, 29
57.88, 16
38.81, 9
63.17, 9
37.93, 8
19.12, 7
67.94, 7
61.54, 2

Cell lengths 5.519, 5.519, 9.282 Å; angles 90.00, 90.00, 120.00 degrees
Fractional positions:
Tm 0.333 0.667 0.250
Tm 0.667 0.333 0.750
Tl 0.000 0.000 0.000
Tl 0.000 0.000 0.500
Ir 0.333 0.667 0.750
Ir 0.667 0.333 0.250
O 0.035 0.380 0.632
O 0.035 0.655 0.868
O 0.345 0.380 0.868
O 0.345 0.965 0.632
O 0.380 0.035 0.132
O 0.380 0.345 0.368
O 0.620 0.655 0.632
O 0.620 0.965 0.868
O 0.655 0.035 0.368
O 0.655 0.620 0.132
O 0.965 0.345 0.132
O 0.965 0.620 0.368